Diffraction record for SrSm2PuAs4. The XRD peak list is computed, not measured: it uses a structure optimized by DFT (PBE) and Cu Ka.
Peak positions follow from Bragg's law for the DFT cell and can differ from measured ones.

Cell and atoms:
```
data_SrSm2PuAs4
_chemical_formula_sum 'Sr1 Sm2 Pu1 As4'
_cell_length_a 7.361
_cell_length_b 4.248
_cell_length_c 7.363
_cell_angle_alpha 90.00
_cell_angle_beta 109.14
_cell_angle_gamma 90.00
_space_group_name_H-M_alt 'P 1 2/m 1'
_space_group_IT_number 10
loop_
_space_group_symop_operation_xyz
'x,y,z'
'-x,-y,-z'
'-x,y,-z'
'x,-y,z'
loop_
_atom_site_label
_atom_site_type_symbol
_atom_site_fract_x
_atom_site_fract_y
_atom_site_fract_z
Sr1 Sr 0.000 0.000 0.000
Sm1 Sm 0.500 0.000 0.500
Sm2 Sm 0.500 0.500 0.000
Pu1 Pu 0.000 0.500 0.500
As1 As 0.249 0.000 0.738
As2 As 0.256 0.500 0.267
```

Largest 6 diffraction maxima, sorted by position, 10 to 90 degrees two-theta:
h k l	Position (°2θ)	d [Å]	I (rel.)
0 0 2	25.66	3.472	319
1 1 1	29.67	3.011	1000
2 0 -2	29.79	2.999	494
0 2 0	42.55	2.125	935
2 2 -2	52.82	1.733	199
4 2 0	69.95	1.345	255